1.
# Tb6Zn23
Computed PXRD pattern, a wavelength of 1.5418 Å. Input: a GGA-PBE-relaxed structure.
Peak positions follow from Bragg's law for the DFT cell and can differ from measured ones.

Cell and atoms:
Unit cell a=9.025 b=9.025 c=9.025 alpha=60.00 beta=60.00 gamma=60.00
Fractional positions:
Tb1 0.209 0.209 0.791
Tb2 0.209 0.791 0.209
Tb3 0.209 0.791 0.791
Tb4 0.791 0.209 0.209
Tb5 0.791 0.209 0.791
Tb6 0.791 0.791 0.209
Zn1 0.000 0.000 0.500
Zn2 0.000 0.500 0.000
Zn3 0.000 0.500 0.500
Zn4 0.131 0.623 0.623
Zn5 0.172 0.172 0.172
Zn6 0.172 0.172 0.485
Zn7 0.172 0.485 0.172
Zn8 0.377 0.377 0.377
Zn9 0.377 0.377 0.869
Zn10 0.377 0.869 0.377
Zn11 0.485 0.172 0.172
Zn12 0.500 0.000 0.000
Zn13 0.500 0.000 0.500
Zn14 0.500 0.500 0.000
Zn15 0.500 0.500 0.500
Zn16 0.515 0.828 0.828
Zn17 0.623 0.131 0.623
Zn18 0.623 0.623 0.131
Zn19 0.623 0.623 0.623
Zn20 0.828 0.515 0.828
Zn21 0.828 0.828 0.515
Zn22 0.828 0.828 0.828
Zn23 0.869 0.377 0.377

Top 10 peaks for 2θ from 10° to 90°, in order of rising 2θ:
2θ = 24.15°, 3.685 Å, I 132; 2θ = 30.53°, 2.928 Å, I 163; 2θ = 34.42°, 2.605 Å, I 261; 2θ = 36.58°, 2.456 Å, I 717; 2θ = 39.96°, 2.256 Å, I 1000; 2θ = 42.49°, 2.127 Å, I 153; 2θ = 59.26°, 1.559 Å, I 132; 2θ = 61.66°, 1.504 Å, I 190; 2θ = 72.57°, 1.303 Å, I 135; 2θ = 73.88°, 1.283 Å, I 158

***

2.
# Tb3Zn11
Computed PXRD pattern, a wavelength of 1.5418 Å. Input: a GGA-PBE-relaxed structure.
Peak positions follow from Bragg's law for the DFT cell and can differ from measured ones.

Cell and atoms:
Unit cell a=8.156 b=8.156 c=8.156 alpha=148.43 beta=114.74 gamma=74.31
Fractional positions:
Tb1 0.000 0.000 0.000
Tb2 0.294 0.294 0.000
Tb3 0.706 0.706 0.000
Zn1 0.019 0.660 0.359
Zn2 0.143 0.863 0.281
Zn3 0.301 0.660 0.641
Zn4 0.318 0.500 0.818
Zn5 0.418 0.137 0.281
Zn6 0.500 0.000 0.500
Zn7 0.582 0.863 0.719
Zn8 0.682 0.500 0.182
Zn9 0.699 0.340 0.359
Zn10 0.857 0.137 0.719
Zn11 0.981 0.340 0.641

Top 10 peaks for 2θ from 10° to 90°, in order of rising 2θ:
2θ = 28.80°, 3.100 Å, I 210; 2θ = 34.31°, 2.614 Å, I 329; 2θ = 35.42°, 2.534 Å, I 1000; 2θ = 35.73°, 2.513 Å, I 381; 2θ = 36.74°, 2.446 Å, I 388; 2θ = 37.02°, 2.428 Å, I 278; 2θ = 39.36°, 2.289 Å, I 287; 2θ = 40.67°, 2.218 Å, I 512; 2θ = 56.17°, 1.637 Å, I 199; 2θ = 69.56°, 1.351 Å, I 222

***

Repeat the second record exactly.
# Tb3Zn11
Computed PXRD pattern, a wavelength of 1.5418 Å. Input: a GGA-PBE-relaxed structure.
Peak positions follow from Bragg's law for the DFT cell and can differ from measured ones.

Cell and atoms:
Unit cell a=8.156 b=8.156 c=8.156 alpha=148.43 beta=114.74 gamma=74.31
Fractional positions:
Tb1 0.000 0.000 0.000
Tb2 0.294 0.294 0.000
Tb3 0.706 0.706 0.000
Zn1 0.019 0.660 0.359
Zn2 0.143 0.863 0.281
Zn3 0.301 0.660 0.641
Zn4 0.318 0.500 0.818
Zn5 0.418 0.137 0.281
Zn6 0.500 0.000 0.500
Zn7 0.582 0.863 0.719
Zn8 0.682 0.500 0.182
Zn9 0.699 0.340 0.359
Zn10 0.857 0.137 0.719
Zn11 0.981 0.340 0.641

Top 10 peaks for 2θ from 10° to 90°, in order of rising 2θ:
2θ = 28.80°, 3.100 Å, I 210; 2θ = 34.31°, 2.614 Å, I 329; 2θ = 35.42°, 2.534 Å, I 1000; 2θ = 35.73°, 2.513 Å, I 381; 2θ = 36.74°, 2.446 Å, I 388; 2θ = 37.02°, 2.428 Å, I 278; 2θ = 39.36°, 2.289 Å, I 287; 2θ = 40.67°, 2.218 Å, I 512; 2θ = 56.17°, 1.637 Å, I 199; 2θ = 69.56°, 1.351 Å, I 222